For Na3ScBr6, DFT lattice parameters and positions (GGA-PBE) gives the theoretical powder diffraction line list in this record (a wavelength of 1.5418 Å).

The 12 most intense peaks (5° ≤ 2θ ≤ 70°), in order of rising 2θ:
hkl 1 1 1, 13.97 deg, d = 6.340 Å, I = 7; hkl 2 0 0, 16.14 deg, d = 5.491 Å, I = 47; hkl 2 2 2, 28.15 deg, d = 3.170 Å, I = 100; hkl 4 0 0, 32.62 deg, d = 2.745 Å, I = 85; hkl 4 2 0, 36.59 deg, d = 2.456 Å, I = 22; hkl 5 1 1, 42.79 deg, d = 2.113 Å, I = 4; hkl 4 4 0, 46.80 deg, d = 1.941 Å, I = 59; hkl 6 0 0, 49.82 deg, d = 1.830 Å, I = 11; hkl 6 2 2, 55.51 deg, d = 1.656 Å, I = 41; hkl 4 4 4, 58.20 deg, d = 1.585 Å, I = 20; hkl 6 4 0, 60.83 deg, d = 1.523 Å, I = 5; hkl 8 0 0, 68.33 deg, d = 1.373 Å, I = 9

Structural model:
abc: 10.9817 10.9817 10.9817
angles: 90.00 90.00 90.00
Space group Fm-3m (No. 225)
Symmetry-distinct sites (fractional):
1 Na 0.0000 0.0000 0.0000
2 Na 0.2500 0.2500 0.2500
3 Sc 0.0000 0.0000 0.5000
4 Br 0.0000 0.0000 0.2595

For Tb11O20, DFT lattice parameters and positions (GGA-PBE) gives the theoretical powder diffraction line list in this record (a wavelength of 1.5418 Å).

The 12 most intense peaks (5° ≤ 2θ ≤ 70°), in order of rising 2θ:
hkl 2 0 -1, 28.26 deg, d = 3.158 Å, I = 50; hkl 0 1 -3, 28.37 deg, d = 3.146 Å, I = 49; hkl 1 -2 0, 28.50 deg, d = 3.132 Å, I = 100; hkl -1 1 3, 31.97 deg, d = 2.799 Å, I = 23; hkl 1 2 -1, 32.82 deg, d = 2.729 Å, I = 21; hkl 2 -1 2, 33.94 deg, d = 2.641 Å, I = 21; hkl 2 1 -4, 46.23 deg, d = 1.964 Å, I = 16; hkl 0 3 2, 46.72 deg, d = 1.944 Å, I = 17; hkl -3 2 1, 47.28 deg, d = 1.923 Å, I = 16; hkl 1 0 5, 47.36 deg, d = 1.920 Å, I = 16; hkl 3 1 1, 47.83 deg, d = 1.902 Å, I = 15; hkl 0 2 5, 54.98 deg, d = 1.670 Å, I = 15

Structural model:
abc: 6.5960 6.6495 10.2996
angles: 94.67 92.87 98.88
Space group P-1 (No. 2)
Symmetry-distinct sites (fractional):
1 Tb 0.0000 0.0000 0.0000
2 Tb 0.0878 0.5811 0.1836
3 Tb 0.1873 0.0887 0.3837
4 Tb 0.2751 0.6315 0.5615
5 Tb 0.3527 0.1593 0.7374
6 Tb 0.4144 0.7117 0.9154
7 O 0.0099 0.9039 0.2057
8 O 0.0729 0.6838 0.9601
9 O 0.0933 0.4129 0.3786
10 O 0.1620 0.9404 0.5742
11 O 0.2432 0.4744 0.7538
12 O 0.3214 0.7746 0.3493
13 O 0.3397 0.0624 0.9532
14 O 0.4063 0.5626 0.1136
15 O 0.4098 0.3103 0.5347
16 O 0.4952 0.1509 0.2760

For Pu2HgGe, DFT lattice parameters and positions (GGA-PBE) gives the theoretical powder diffraction line list in this record (a wavelength of 1.5418 Å).

The 10 most intense peaks (5° ≤ 2θ ≤ 70°), in order of rising 2θ:
hkl 1 1 1, 21.38 deg, d = 4.156 Å, I = 6; hkl 2 0 0, 24.74 deg, d = 3.599 Å, I = 8; hkl 2 2 0, 35.27 deg, d = 2.545 Å, I = 100; hkl 3 1 1, 41.61 deg, d = 2.170 Å, I = 4; hkl 2 2 2, 43.56 deg, d = 2.078 Å, I = 3; hkl 4 0 0, 50.73 deg, d = 1.799 Å, I = 18; hkl 3 3 1, 55.66 deg, d = 1.651 Å, I = 2; hkl 4 2 0, 57.24 deg, d = 1.610 Å, I = 4; hkl 4 2 2, 63.30 deg, d = 1.469 Å, I = 38; hkl 5 1 1, 67.63 deg, d = 1.385 Å, I = 1

Structural model:
abc: 7.1980 7.1980 7.1980
angles: 90.00 90.00 90.00
Space group Fm-3m (No. 225)
Symmetry-distinct sites (fractional):
1 Pu 0.2500 0.2500 0.2500
2 Hg 0.0000 0.0000 0.0000
3 Ge 0.0000 0.0000 0.5000

For MnVGa5, DFT lattice parameters and positions (GGA-PBE) gives the theoretical powder diffraction line list in this record (a wavelength of 1.5418 Å).

The 12 most intense peaks (5° ≤ 2θ ≤ 70°), in order of rising 2θ:
hkl 2 4 0, 31.75 deg, d = 2.819 Å, I = 23; hkl 4 2 0, 31.88 deg, d = 2.807 Å, I = 24; hkl 0 0 1, 33.31 deg, d = 2.690 Å, I = 54; hkl 2 2 1, 39.14 deg, d = 2.302 Å, I = 29; hkl 1 3 1, 40.48 deg, d = 2.228 Å, I = 75; hkl 3 5 0, 41.81 deg, d = 2.161 Å, I = 66; hkl 5 3 0, 41.94 deg, d = 2.154 Å, I = 69; hkl 0 6 0, 43.00 deg, d = 2.104 Å, I = 26; hkl 6 0 0, 43.30 deg, d = 2.090 Å, I = 24; hkl 2 4 1, 46.73 deg, d = 1.944 Å, I = 100; hkl 1 5 1, 50.09 deg, d = 1.821 Å, I = 27; hkl 5 1 1, 50.27 deg, d = 1.815 Å, I = 24

Structural model:
abc: 12.5379 12.6216 2.6897
angles: 90.00 90.00 90.00
Space group Cmmm (No. 65)
Symmetry-distinct sites (fractional):
1 Mn 0.0000 0.1783 0.0000
2 V 0.1806 0.5000 0.0000
3 Ga 0.0000 0.0000 0.5000
4 Ga 0.0000 0.5000 0.5000
5 Ga 0.1156 0.3204 0.5000
6 Ga 0.1782 0.1173 0.5000

For Y2Al3Co14, DFT lattice parameters and positions (GGA-PBE) gives the theoretical powder diffraction line list in this record (a wavelength of 1.5418 Å).

The 12 most intense peaks (5° ≤ 2θ ≤ 70°), in order of rising 2θ:
hkl 1 1 2, 30.58 deg, d = 2.923 Å, I = 13; hkl 2 0 2, 33.04 deg, d = 2.711 Å, I = 21; hkl 3 0 0, 37.23 deg, d = 2.415 Å, I = 44; hkl 2 0 3, 41.47 deg, d = 2.177 Å, I = 35; hkl 2 2 0, 43.26 deg, d = 2.091 Å, I = 49; hkl 3 0 2, 43.53 deg, d = 2.079 Å, I = 100; hkl 0 0 4, 44.33 deg, d = 2.043 Å, I = 32; hkl 2 1 3, 47.05 deg, d = 1.931 Å, I = 14; hkl 2 2 2, 48.92 deg, d = 1.862 Å, I = 36; hkl 1 1 4, 49.66 deg, d = 1.836 Å, I = 11; hkl 2 2 4, 63.67 deg, d = 1.462 Å, I = 10; hkl 3 2 3, 65.82 deg, d = 1.419 Å, I = 12

Structural model:
abc: 8.3659 8.3659 8.1733
angles: 90.00 90.00 120.00
Space group P6_3/mmc (No. 194)
Symmetry-distinct sites (fractional):
1 Y 0.0000 0.0000 0.2500
2 Y 0.3333 0.6667 0.2500
3 Al 0.0000 0.5000 0.0000
4 Co 0.0431 0.3701 0.7500
5 Co 0.1625 0.3250 0.0129
6 Co 0.3333 0.6667 0.6103

What did the second record say?
For Tb11O20, DFT lattice parameters and positions (GGA-PBE) gives the theoretical powder diffraction line list in this record (a wavelength of 1.5418 Å).

The 12 most intense peaks (5° ≤ 2θ ≤ 70°), in order of rising 2θ:
hkl 2 0 -1, 28.26 deg, d = 3.158 Å, I = 50; hkl 0 1 -3, 28.37 deg, d = 3.146 Å, I = 49; hkl 1 -2 0, 28.50 deg, d = 3.132 Å, I = 100; hkl -1 1 3, 31.97 deg, d = 2.799 Å, I = 23; hkl 1 2 -1, 32.82 deg, d = 2.729 Å, I = 21; hkl 2 -1 2, 33.94 deg, d = 2.641 Å, I = 21; hkl 2 1 -4, 46.23 deg, d = 1.964 Å, I = 16; hkl 0 3 2, 46.72 deg, d = 1.944 Å, I = 17; hkl -3 2 1, 47.28 deg, d = 1.923 Å, I = 16; hkl 1 0 5, 47.36 deg, d = 1.920 Å, I = 16; hkl 3 1 1, 47.83 deg, d = 1.902 Å, I = 15; hkl 0 2 5, 54.98 deg, d = 1.670 Å, I = 15

Structural model:
abc: 6.5960 6.6495 10.2996
angles: 94.67 92.87 98.88
Space group P-1 (No. 2)
Symmetry-distinct sites (fractional):
1 Tb 0.0000 0.0000 0.0000
2 Tb 0.0878 0.5811 0.1836
3 Tb 0.1873 0.0887 0.3837
4 Tb 0.2751 0.6315 0.5615
5 Tb 0.3527 0.1593 0.7374
6 Tb 0.4144 0.7117 0.9154
7 O 0.0099 0.9039 0.2057
8 O 0.0729 0.6838 0.9601
9 O 0.0933 0.4129 0.3786
10 O 0.1620 0.9404 0.5742
11 O 0.2432 0.4744 0.7538
12 O 0.3214 0.7746 0.3493
13 O 0.3397 0.0624 0.9532
14 O 0.4063 0.5626 0.1136
15 O 0.4098 0.3103 0.5347
16 O 0.4952 0.1509 0.2760